# Ce5Nd5Ru6
Simulated PXRD pattern, Cu Kα. Input: a cell relaxed with GGA-PBE.

Peak list (8 most intense, 10 to 90 degrees two-theta, sorted by position)
index  two_theta  Rel. int.
2 0 0  28.2  35.6
0 5 1  30.9  74.4
1 5 1  34.1  82.8
2 3 1  35.1  100.0
1 4 2  35.3  42.2
2 0 2  36.2  54.9
1 1 3  37.2  63.6
0 3 3  38.1  54.5

```
data_Ce5Nd5Ru6
_cell_length_a 6.337
_cell_length_b 15.508
_cell_length_c 7.966
_cell_angle_alpha 90.00
_cell_angle_beta 90.00
_cell_angle_gamma 90.00
_space_group_name_H-M_alt 'A m m 2'
_space_group_IT_number 38
loop_
_space_group_symop_operation_xyz
'x,y,z'
'-x,-y,z'
'-x,y,z'
'x,-y,z'
'x,y+1/2,z+1/2'
'-x,-y+1/2,z+1/2'
'-x,y+1/2,z+1/2'
'x,-y+1/2,z+1/2'
loop_
_atom_site_label
_atom_site_type_symbol
_atom_site_fract_x
_atom_site_fract_y
_atom_site_fract_z
Ce1 Ce 0.000 0.000 0.000
Ce2 Ce 0.251 0.176 0.783
Nd1 Nd 0.000 0.119 0.405
Nd2 Nd 0.500 0.000 0.553
Nd3 Nd 0.500 0.116 0.162
Ru1 Ru 0.000 0.000 0.701
Ru2 Ru 0.000 0.194 0.045
Ru3 Ru 0.500 0.000 0.895
Ru4 Ru 0.500 0.198 0.525
```